Structure and theoretical powder diffractogram of Mg14ZnCdO16 (a cell relaxed with GGA-PBE; Cu Kα (weighted mean of Kα1 and Kα2)).
Lines closer than 0.1° are merged.

Structural model:
Cell lengths 8.610, 8.610, 4.314 Å; angles 90.00, 90.00, 90.00 degrees
Space group P4/mmm (No. 123)
Asymmetric unit:
Mg 0.000 0.249 0.000 (multiplicity 4)
Mg 0.000 0.500 0.500 (multiplicity 2)
Mg 0.245 0.500 0.000 (multiplicity 4)
Mg 0.248 0.248 0.500 (multiplicity 4)
Zn 0.000 0.000 0.500 (multiplicity 1)
Cd 0.500 0.500 0.500 (multiplicity 1)
O 0.000 0.000 0.000 (multiplicity 1)
O 0.000 0.251 0.500 (multiplicity 4)
O 0.000 0.500 0.000 (multiplicity 2)
O 0.235 0.500 0.500 (multiplicity 4)
O 0.250 0.250 0.000 (multiplicity 4)
O 0.500 0.500 0.000 (multiplicity 1)

Main lines, in order of rising 2θ (10° ≤ 2θ ≤ 90°):
Position (°2θ), I (rel.)
14.55, 21.9
20.62, 18.2
36.11, 25.8
41.94, 100.0
60.82, 57.3
76.62, 17.5